For Li2Mn3TeO8, a PBE+U-relaxed structure gives the simulated powder X-ray diffraction pattern in this record (Cu Kα X-rays).
Lines closer than 0.1° are merged.

Largest 10 diffraction maxima, by angle, 2θ = 15–90°:
17.6 deg, I = 100.0
17.9 deg, I = 45.0
33.8 deg, I = 18.5
33.9 deg, I = 13.9
34.1 deg, I = 13.3
34.4 deg, I = 16.7
41.1 deg, I = 22.2
41.5 deg, I = 42.7
59.1 deg, I = 13.5
60.7 deg, I = 13.2

abc: 6.1079 6.1079 10.9087
angles: 107.08 107.08 60.28
Element x y z (fractional)
Li: 0.0578 0.5738 0.7097
Li: 0.4262 0.9422 0.7903
Li: 0.5738 0.0578 0.2097
Li: 0.9422 0.4262 0.2903
Mn: 0.0000 0.0000 0.0000
Mn: 0.0000 0.0000 0.5000
Mn: 0.0000 0.5000 0.0000
Mn: 0.5000 0.0000 0.5000
Mn: 0.5000 0.5000 0.0000
Mn: 0.5000 0.5000 0.5000
Te: 0.2694 0.7306 0.2500
Te: 0.7306 0.2694 0.7500
O: 0.0721 0.1601 0.8623
O: 0.1461 0.6112 0.9093
O: 0.1601 0.0721 0.3623
O: 0.1630 0.6226 0.3676
O: 0.3714 0.3953 0.1358
O: 0.3774 0.8370 0.1324
O: 0.3888 0.8539 0.5907
O: 0.3953 0.3714 0.6358
O: 0.6047 0.6286 0.3642
O: 0.6112 0.1461 0.4093
O: 0.6226 0.1630 0.8676
O: 0.6286 0.6047 0.8642
O: 0.8370 0.3774 0.6324
O: 0.8399 0.9279 0.6377
O: 0.8539 0.3888 0.0907
O: 0.9279 0.8399 0.1377